Starting from a crystal structure in the Materials Project, relaxed with PBE, the powder X-ray diffraction pattern of TlCuF3 was simulated for Cu Ka.
No peak broadening, texture or thermal motion is included.

Crystal structure
Cell: 4.165 4.165 4.165 Å, 90.00 90.00 90.00°
Fractional coordinates of all 5 atoms:
Tl 0.000 0.000 0.000
Cu 0.500 0.500 0.500
F 0.000 0.500 0.500
F 0.500 0.000 0.500
F 0.500 0.500 0.000

Most intense lines, 5 to 70 degrees two-theta, low angle first:
- 21.33°, d 4.165, intensity 22, (1 0 0)
- 30.35°, d 2.945, intensity 100, (1 1 0)
- 37.40°, d 2.405, intensity 22, (1 1 1)
- 43.46°, d 2.082, intensity 32, (2 0 0)
- 53.93°, d 1.700, intensity 41, (2 1 1)
- 63.14°, d 1.472, intensity 20, (2 2 0)